# BaCuGe
Theoretical powder XRD pattern, Cu Kα X-rays. Input: a crystal structure in the Materials Project, relaxed with GGA-PBE.

Atomic structure:
Unit cell a=4.2713 b=4.2713 c=5.0138 alpha=90.00 beta=90.00 gamma=120.00
Space group P-6m2 (No. 187)
One atom of each set of equivalent atoms:
Ba 0.0000 0.0000 0.0000
Cu 0.3333 0.6667 0.5000
Ge 0.6667 0.3333 0.5000

Main lines, by angle (2θ from 10° to 80°):
2θ/deg  I_rel
30.02  100
35.82  19
42.32  35
52.75  20
56.62  29
69.84  17

---

# GaFe2AgTe4
Theoretical powder XRD pattern, Cu Kα X-rays. Input: a crystal structure in the Materials Project, relaxed with GGA-PBE.

Atomic structure:
Unit cell a=6.219 b=6.219 c=12.188 alpha=90.00 beta=90.00 gamma=90.00
Space group I-42m (No. 121)
One atom of each set of equivalent atoms:
Ga 0.000 0.000 0.000
Fe 0.000 0.500 0.250
Ag 0.000 0.000 0.500
Te 0.244 0.244 0.866

Main lines, by angle (2θ from 10° to 80°):
2θ/deg  I_rel
24.97  100
41.05  25
41.49  47
48.65  32
49.42  14
75.09  15